No. 1
Starting from a structure optimized by DFT (GGA-PBE), the XRD peak list of KTl12Sb5 was calculated for copper Kα.

Structure:
```
data_KTl12Sb5
_symmetry_space_group_name_H-M 'I m m m'
_symmetry_Int_Tables_number 71
_symmetry_space_group_name_Hall '-I 2 2'
_cell_length_a 9.9472
_cell_length_b 10.7345
_cell_length_c 11.3821
_cell_angle_alpha 90.00
_cell_angle_beta 90.00
_cell_angle_gamma 90.00
loop_
_atom_site_label
_atom_site_fract_x
_atom_site_fract_y
_atom_site_fract_z
_atom_site_occupancy
K1 0.0000 0.0000 0.0000 1
Tl1 0.0000 0.2864 0.1769 1
Tl2 0.1875 0.2747 0.5000 1
Tl3 0.1948 0.0000 0.2555 1
Sb1 0.0000 0.0000 0.5000 1
Sb2 0.0000 0.5000 0.3680 1
Sb3 0.1555 0.5000 0.0000 1
```

Principal peaks in the range 10 to 90 degrees two-theta, most intense first:
hkl  2theta  Rel. int.
2 2 2  29.07  100
3 2 1  32.71  60
1 2 3  30.21  55
3 1 2  32.34  51
0 4 0  33.39  44
3 5 2  53.32  30

=====

No. 2
Starting from a structure optimized by DFT (GGA-PBE), the XRD peak list of KTl14Sb was calculated for copper Kα.

Structure:
```
data_KTl14Sb
_symmetry_space_group_name_H-M 'A m m 2'
_symmetry_Int_Tables_number 38
_cell_length_a 11.2475
_cell_length_b 7.1992
_cell_length_c 12.3234
_cell_angle_alpha 90.00
_cell_angle_beta 90.00
_cell_angle_gamma 90.00
loop_
_symmetry_equiv_pos_as_xyz
'x,y,z'
'-x,-y,z'
'-x,y,z'
'x,-y,z'
'x,y+1/2,z+1/2'
'-x,-y+1/2,z+1/2'
'-x,y+1/2,z+1/2'
'x,-y+1/2,z+1/2'
loop_
_atom_site_label
_atom_site_fract_x
_atom_site_fract_y
_atom_site_fract_z
_atom_site_occupancy
K1 0.0000 0.0000 0.0000 1
Tl1 0.0000 0.2315 0.7449 1
Tl2 0.2309 0.0000 0.3265 1
Tl3 0.2564 0.2411 0.5777 1
Tl4 0.2613 0.0000 0.8271 1
Tl5 0.5000 0.0000 0.1570 1
Tl6 0.5000 0.0000 0.6576 1
Tl7 0.5000 0.2412 0.4029 1
Sb1 0.0000 0.0000 0.5068 1
```

Principal peaks in the range 10 to 90 degrees two-theta, most intense first:
hkl  2theta  Rel. int.
2 2 2  32.93  100
4 0 0  31.82  42
2 0 4  33.16  41
1 2 2  29.82  30
4 2 6  61.56  25
0 2 6  51.21  23

=====

No. 3
Starting from a structure optimized by DFT (GGA-PBE), the XRD peak list of K3Tl2Sb2 was calculated for copper Kα.

Structure:
```
data_K3Tl2Sb2
_symmetry_space_group_name_H-M 'I m m m'
_symmetry_Int_Tables_number 71
_symmetry_space_group_name_Hall '-I 2 2'
_cell_length_a 4.7376
_cell_length_b 5.3790
_cell_length_c 22.1148
_cell_angle_alpha 90.00
_cell_angle_beta 90.00
_cell_angle_gamma 90.00
loop_
_atom_site_label
_atom_site_fract_x
_atom_site_fract_y
_atom_site_fract_z
_atom_site_occupancy
K1 0.0000 0.0000 0.0000 1
K2 0.0000 0.5000 0.3114 1
Tl1 0.0000 0.0000 0.4328 1
Sb1 0.0000 0.5000 0.1450 1
```

Principal peaks in the range 10 to 90 degrees two-theta, most intense first:
hkl  2theta  Rel. int.
0 1 1  16.96  100
1 1 2  26.33  68
1 0 7  34.11  48
1 1 6  35.07  46
1 2 7  48.41  39
0 2 0  33.31  30

=====

No. 4
Starting from a structure optimized by DFT (GGA-PBE), the XRD peak list of KTmSb2 was calculated for copper Kα.

Structure:
```
data_KTmSb2
_symmetry_space_group_name_H-M 'P 4/m m m'
_symmetry_Int_Tables_number 123
_symmetry_space_group_name_Hall '-P 4 2'
_cell_length_a 4.0629
_cell_length_b 4.0629
_cell_length_c 7.6477
_cell_angle_alpha 90.00
_cell_angle_beta 90.00
_cell_angle_gamma 90.00
loop_
_atom_site_label
_atom_site_fract_x
_atom_site_fract_y
_atom_site_fract_z
_atom_site_occupancy
K1 0.0000 0.0000 0.0000 1
Tm1 0.0000 0.0000 0.5000 1
Sb1 0.5000 0.5000 0.3058 1
```

Principal peaks in the range 10 to 90 degrees two-theta, most intense first:
hkl  2theta  Rel. int.
1 0 2  32.15  100
0 0 1  11.57  76
1 1 0  31.13  71
2 1 2  56.04  40
1 0 3  41.83  36
2 0 0  44.60  26

=====

No. 5
Starting from a structure optimized by DFT (GGA-PBE), the XRD peak list of KVSb was calculated for copper Kα.

Structure:
```
data_KVSb
_symmetry_space_group_name_H-M 'P 4/n m m'
_symmetry_Int_Tables_number 129
_cell_length_a 4.0966
_cell_length_b 4.0966
_cell_length_c 11.1659
_cell_angle_alpha 90.00
_cell_angle_beta 90.00
_cell_angle_gamma 90.00
loop_
_symmetry_equiv_pos_as_xyz
'x,y,z'
'-x,-y,-z'
'-y+1/2,x,z'
'y+1/2,-x,-z'
'-x+1/2,-y+1/2,z'
'x+1/2,y+1/2,-z'
'y,-x+1/2,z'
'-y,x+1/2,-z'
'x+1/2,-y,-z'
'-x+1/2,y,z'
'-y,-x,-z'
'y,x,z'
'-x,y+1/2,-z'
'x,-y+1/2,z'
'y+1/2,x+1/2,-z'
'-y+1/2,-x+1/2,z'
loop_
_atom_site_label
_atom_site_fract_x
_atom_site_fract_y
_atom_site_fract_z
_atom_site_occupancy
K1 0.2500 0.2500 0.1804 1
V1 0.2500 0.7500 0.5000 1
Sb1 0.2500 0.2500 0.6587 1
```

Principal peaks in the range 10 to 90 degrees two-theta, most intense first:
hkl  2theta  Rel. int.
1 0 2  27.00  100
1 1 2  34.89  40
1 0 4  39.05  31
1 1 3  39.42  31
2 1 2  52.57  30
1 0 1  23.13  29

=====

No. 6
Starting from a structure optimized by DFT (GGA-PBE), the XRD peak list of KZn6Sb4 was calculated for copper Kα.

Structure:
```
data_KZn6Sb4
_symmetry_space_group_name_H-M 'I 4/m m m'
_symmetry_Int_Tables_number 139
_symmetry_space_group_name_Hall '-I 4 2'
_cell_length_a 4.7856
_cell_length_b 4.7856
_cell_length_c 25.2749
_cell_angle_alpha 90.00
_cell_angle_beta 90.00
_cell_angle_gamma 90.00
loop_
_atom_site_label
_atom_site_fract_x
_atom_site_fract_y
_atom_site_fract_z
_atom_site_occupancy
K1 0.0000 0.0000 0.0000 1
Zn1 0.0000 0.5000 0.1335 1
Zn2 0.0000 0.5000 0.2500 1
Sb1 0.0000 0.0000 0.1956 1
Sb2 0.0000 0.0000 0.4208 1
```

Principal peaks in the range 10 to 90 degrees two-theta, most intense first:
hkl  2theta  Rel. int.
1 0 5  25.63  100
1 1 8  39.00  82
2 0 0  37.59  74
2 1 5  46.05  40
1 1 10  44.75  38
3 1 8  68.78  29

=====

No. 7
Starting from a structure optimized by DFT (GGA-PBE), the XRD peak list of K3ZnSb was calculated for copper Kα.

Structure:
```
data_K3ZnSb
_symmetry_space_group_name_H-M 'I m a 2'
_symmetry_Int_Tables_number 46
_cell_length_a 13.8165
_cell_length_b 8.3138
_cell_length_c 7.8534
_cell_angle_alpha 90.00
_cell_angle_beta 90.00
_cell_angle_gamma 90.00
loop_
_symmetry_equiv_pos_as_xyz
'x,y,z'
'-x,-y,z'
'-x+1/2,y,z'
'x+1/2,-y,z'
'x+1/2,y+1/2,z+1/2'
'-x+1/2,-y+1/2,z+1/2'
'-x,y+1/2,z+1/2'
'x,-y+1/2,z+1/2'
loop_
_atom_site_label
_atom_site_fract_x
_atom_site_fract_y
_atom_site_fract_z
_atom_site_occupancy
K1 0.0086 0.2502 0.0000 1
K2 0.2500 0.5960 0.2553 1
Zn1 0.2500 0.2461 0.5005 1
Sb1 0.2500 0.0393 0.2470 1
```

Principal peaks in the range 10 to 90 degrees two-theta, most intense first:
hkl  2theta  Rel. int.
2 0 0  12.81  100
4 0 0  25.79  88
0 2 2  31.34  80
4 2 2  41.02  73
2 2 0  25.04  69
1 1 0  12.43  63

=====

No. 8
Starting from a structure optimized by DFT (GGA-PBE), the XRD peak list of KZrSb2 was calculated for copper Kα.

Structure:
```
data_KZrSb2
_symmetry_space_group_name_H-M 'C 1 m 1'
_symmetry_Int_Tables_number 8
_cell_length_a 18.5453
_cell_length_b 3.2499
_cell_length_c 4.3126
_cell_angle_alpha 90.00
_cell_angle_beta 103.43
_cell_angle_gamma 90.00
loop_
_symmetry_equiv_pos_as_xyz
'x,y,z'
'x,-y,z'
'x+1/2,y+1/2,z'
'x+1/2,-y+1/2,z'
loop_
_atom_site_label
_atom_site_fract_x
_atom_site_fract_y
_atom_site_fract_z
_atom_site_occupancy
K1 0.0000 0.0000 0.0000 1
Zr1 0.2339 0.5000 0.2334 1
Sb1 0.1600 0.0000 0.6594 1
Sb2 0.3701 0.0000 0.3713 1
```

Principal peaks in the range 10 to 90 degrees two-theta, most intense first:
hkl  2theta  Rel. int.
1 1 1  36.01  100
4 0 -1  25.42  70
5 1 0  37.24  48
6 0 1  40.79  35
0 0 1  21.18  33
3 1 0  31.29  27

=====

No. 9
Starting from a structure optimized by DFT (GGA-PBE), the XRD peak list of KSc was calculated for copper Kα.

Structure:
```
data_KSc
_symmetry_space_group_name_H-M 'C m c m'
_symmetry_Int_Tables_number 63
_symmetry_space_group_name_Hall '-C 2c 2'
_cell_length_a 3.5741
_cell_length_b 24.7036
_cell_length_c 3.5931
_cell_angle_alpha 90.00
_cell_angle_beta 90.00
_cell_angle_gamma 90.00
loop_
_atom_site_label
_atom_site_fract_x
_atom_site_fract_y
_atom_site_fract_z
_atom_site_occupancy
K1 0.0000 0.0838 0.2500 1
Sc1 0.0000 0.2883 0.2500 1
```

Principal peaks in the range 10 to 90 degrees two-theta, most intense first:
hkl  2theta  Rel. int.
0 4 1  28.74  100
1 5 0  30.88  95
1 1 1  35.62  86
0 6 0  21.58  45
1 9 1  48.92  33
0 6 1  33.09  26

=====

No. 10
Starting from a structure optimized by DFT (GGA-PBE), the XRD peak list of KSc was calculated for copper Kα.

Structure:
```
data_KSc
_symmetry_space_group_name_H-M 'P 1 21/m 1'
_symmetry_Int_Tables_number 11
_cell_length_a 3.5897
_cell_length_b 3.5905
_cell_length_c 12.2496
_cell_angle_alpha 90.00
_cell_angle_beta 90.14
_cell_angle_gamma 90.00
loop_
_symmetry_equiv_pos_as_xyz
'x,y,z'
'-x,-y,-z'
'-x,y+1/2,-z'
'x,-y+1/2,z'
loop_
_atom_site_label
_atom_site_fract_x
_atom_site_fract_y
_atom_site_fract_z
_atom_site_occupancy
K1 0.2465 0.2500 0.1655 1
Sc1 0.2508 0.2500 0.5771 1
```

Principal peaks in the range 10 to 90 degrees two-theta, most intense first:
hkl  2theta  Rel. int.
1 0 2  28.83  100
1 1 0  35.36  39
1 0 -3  33.23  24
0 0 3  21.77  21
2 1 2  59.52  21
0 1 5  44.77  16

=====

No. 11
Starting from a structure optimized by DFT (GGA-PBE), the XRD peak list of KScSe2 was calculated for copper Kα.

Structure:
```
data_KScSe2
_symmetry_space_group_name_H-M 'F d d 2'
_symmetry_Int_Tables_number 43
_symmetry_space_group_name_Hall 'F 2 -2d'
_cell_length_a 9.4452
_cell_length_b 11.3447
_cell_length_c 9.6425
_cell_angle_alpha 90.00
_cell_angle_beta 90.00
_cell_angle_gamma 90.00
loop_
_atom_site_label
_atom_site_fract_x
_atom_site_fract_y
_atom_site_fract_z
_atom_site_occupancy
K1 0.0000 0.0000 0.0000 1
Sc1 0.0000 0.0000 0.4492 1
Se1 0.0340 0.2135 0.5428 1
```

Principal peaks in the range 10 to 90 degrees two-theta, most intense first:
hkl  2theta  Rel. int.
2 0 2  26.42  100
0 2 2  24.23  35
2 4 2  41.60  31
1 1 1  15.28  29
1 3 1  27.03  26
2 2 4  45.15  26

=====

No. 12
Starting from a structure optimized by DFT (GGA-PBE), the XRD peak list of KScSe2 was calculated for copper Kα.

Structure:
```
data_KScSe2
_symmetry_space_group_name_H-M 'P -1'
_symmetry_Int_Tables_number 2
_cell_length_a 3.9088
_cell_length_b 6.3569
_cell_length_c 9.0844
_cell_angle_alpha 92.29
_cell_angle_beta 90.03
_cell_angle_gamma 90.11
loop_
_symmetry_equiv_pos_as_xyz
'x,y,z'
'-x,-y,-z'
loop_
_atom_site_label
_atom_site_fract_x
_atom_site_fract_y
_atom_site_fract_z
_atom_site_occupancy
K1 0.2481 0.2429 0.3813 1
Sc1 0.2489 0.3125 0.8775 1
Se1 0.2509 0.7301 0.9138 1
Se2 0.2517 0.7425 0.3191 1
```

Principal peaks in the range 10 to 90 degrees two-theta, most intense first:
hkl  2theta  Rel. int.
1 0 2  30.17  100
0 2 0  28.10  66
1 2 -2  41.13  33
1 2 2  42.26  33
2 0 0  46.46  18
1 1 0  26.78  16

=====

No. 13
Starting from a structure optimized by DFT (GGA-PBE), the XRD peak list of KSc5Se8 was calculated for copper Kα.

Structure:
```
data_KSc5Se8
_symmetry_space_group_name_H-M 'C 1 2/m 1'
_symmetry_Int_Tables_number 12
_cell_length_a 20.0408
_cell_length_b 3.8955
_cell_length_c 9.6124
_cell_angle_alpha 90.00
_cell_angle_beta 104.80
_cell_angle_gamma 90.00
loop_
_symmetry_equiv_pos_as_xyz
'x,y,z'
'-x,-y,-z'
'-x,y,-z'
'x,-y,z'
'x+1/2,y+1/2,z'
'-x+1/2,-y+1/2,-z'
'-x+1/2,y+1/2,-z'
'x+1/2,-y+1/2,z'
loop_
_atom_site_label
_atom_site_fract_x
_atom_site_fract_y
_atom_site_fract_z
_atom_site_occupancy
K1 0.0000 0.0000 0.0000 1
Sc1 0.0000 0.5000 0.5000 1
Sc2 0.1551 0.0000 0.4643 1
Sc3 0.2050 0.0000 0.8429 1
Se1 0.0770 0.0000 0.6557 1
Se2 0.0820 0.5000 0.3117 1
Se3 0.1666 0.5000 0.9938 1
Se4 0.2349 0.5000 0.6537 1
```

Principal peaks in the range 10 to 90 degrees two-theta, most intense first:
hkl  2theta  Rel. int.
3 1 1  29.62  100
3 1 -2  30.87  68
9 1 -1  47.01  54
6 0 -2  29.37  46
3 1 -3  36.90  30
0 2 0  46.63  30

=====

No. 14
Starting from a structure optimized by DFT (GGA-PBE), the XRD peak list of K3Sm3ScSe8 was calculated for copper Kα.

Structure:
```
data_K3Sm3ScSe8
_symmetry_space_group_name_H-M 'C 1 2/m 1'
_symmetry_Int_Tables_number 12
_cell_length_a 14.5009
_cell_length_b 8.3632
_cell_length_c 9.2413
_cell_angle_alpha 90.00
_cell_angle_beta 121.55
_cell_angle_gamma 90.00
loop_
_symmetry_equiv_pos_as_xyz
'x,y,z'
'-x,-y,-z'
'-x,y,-z'
'x,-y,z'
'x+1/2,y+1/2,z'
'-x+1/2,-y+1/2,-z'
'-x+1/2,y+1/2,-z'
'x+1/2,-y+1/2,z'
loop_
_atom_site_label
_atom_site_fract_x
_atom_site_fract_y
_atom_site_fract_z
_atom_site_occupancy
K1 0.0000 0.0000 0.0000 1
K2 0.2500 0.2500 0.0000 1
Sm1 0.0000 0.5000 0.5000 1
Sm2 0.2500 0.2500 0.5000 1
Sc1 0.0000 0.0000 0.5000 1
Se1 0.0128 0.2369 0.3016 1
Se2 0.2241 0.0000 0.6983 1
Se3 0.2369 0.5000 0.7107 1
```

Principal peaks in the range 10 to 90 degrees two-theta, most intense first:
hkl  2theta  Rel. int.
4 0 0  28.91  100
0 0 1  11.24  65
0 4 0  43.25  35
2 2 2  39.36  33
4 0 1  36.38  23
4 4 0  52.86  17